For Li4MnF6, a DFT-relaxed cell (GGA+U, Alexandria) gives the simulated XRD peak list in this record (Cu Kα, 1.54184 Å).

Largest 6 diffraction maxima, in order of rising 2θ, 2θ = 10–80°:
two_theta, d [Å], Rel. int., (hkl)
20.1, 4.411, 381, 1 1 0
21.4, 4.150, 924, 0 1 1
29.6, 3.023, 364, 2 0 1
39.8, 2.264, 1000, 3 0 1
51.5, 1.774, 754, 3 0 2
63.2, 1.470, 338, 3 3 0

```
data_Li4MnF6
_chemical_formula_sum 'Li12 Mn3 F18'
_cell_length_a 8.8224
_cell_length_b 8.8224
_cell_length_c 4.9429
_cell_angle_alpha 90.00
_cell_angle_beta 90.00
_cell_angle_gamma 120.00
_symmetry_space_group_name_H-M 'P -3 m 1'
_symmetry_Int_Tables_number 164
_symmetry_space_group_name_Hall '-P 3 2"'
loop_
_atom_site_label
_atom_site_fract_x
_atom_site_fract_y
_atom_site_fract_z
Li1 0.0000 0.3158 0.0000
Li2 0.0000 0.3478 0.5000
Mn1 0.0000 0.0000 0.5000
Mn2 0.3333 0.6667 0.9919
F1 0.0943 0.5471 0.7599
F2 0.1199 0.2397 0.7280
F3 0.2135 0.4269 0.2245
```